This entry pairs a crystal structure of Sm5AlCd2 with its computed powder X-ray diffraction pattern. Radiation: λ = 1.5418 Å (Cu Kα). Structure: DFT lattice parameters and positions (PBE).

Most intense lines, 15° ≤ 2θ ≤ 90°, sorted by position:
2theta  I/Imax  hkl
29.8  11  1 3 1
30.8  7  1 4 0
32.4  100  0 4 1
33.5  29  0 0 2
34.0  21  2 3 0
34.6  10  2 2 1
48.5  16  2 3 2
56.7  7  2 5 2
57.3  8  3 5 1
59.2  18  0 4 3

Structural model:
```
16
Lattice="6.6794 0.0000 0.0000 0.0000 12.9004 0.0000 0.0000 0.0000 5.3523" Properties=species:S:1:pos:R:3 pbc="T T T"
Sm 0.0000 0.0000 0.0000
Sm 0.9751 5.0665 2.6762
Sm 1.0561 9.3151 0.0000
Sm 2.2837 2.8649 0.0000
Sm 2.3647 11.5167 2.6762
Sm 3.3397 6.4502 0.0000
Sm 4.3148 1.3837 2.6762
Sm 4.3958 10.0355 0.0000
Sm 5.6234 3.5853 0.0000
Sm 5.7044 7.8339 2.6762
Al 0.0000 6.4502 0.0000
Al 3.3397 0.0000 0.0000
Cd 0.8236 1.7578 2.6762
Cd 2.5162 8.2080 2.6762
Cd 4.1633 4.6924 2.6762
Cd 5.8559 11.1425 2.6762
```